No. 1
Theoretical powder diffractogram of BeFe2Si for copper Kα, from a DFT-relaxed cell (GGA-PBE, OQMD).

Peak list (10 most intense, 10° ≤ 2θ ≤ 80°, in order of rising 2θ)
| 2θ (°) | I (rel.) |
| --- | --- |
| 16.49 | 3 |
| 28.77 | 2 |
| 33.34 | 44 |
| 37.41 | 4 |
| 47.86 | 100 |
| 50.97 | 1 |
| 59.58 | 9 |
| 70.01 | 15 |
| 72.50 | 1 |
| 79.79 | 11 |

Cell and atoms:
Cell lengths 5.3755, 5.3755, 5.3755 Å; angles 90.00, 90.00, 90.00 degrees
Fractional coordinates of all 16 atoms:
Be 0.0000 0.0000 0.0000
Be 0.0000 0.0000 0.5000
Be 0.0000 0.5000 0.0000
Be 0.5000 0.0000 0.0000
Fe 0.2457 0.2457 0.2457
Fe 0.2457 0.2457 0.7543
Fe 0.2457 0.7543 0.2457
Fe 0.2457 0.7543 0.7543
Fe 0.7543 0.2457 0.2457
Fe 0.7543 0.2457 0.7543
Fe 0.7543 0.7543 0.2457
Fe 0.7543 0.7543 0.7543
Si 0.0000 0.5000 0.5000
Si 0.5000 0.0000 0.5000
Si 0.5000 0.5000 0.0000
Si 0.5000 0.5000 0.5000

---

No. 2
Theoretical powder diffractogram of Pr2SmCo2B2As3 for copper Kα, from a DFT-relaxed cell (GGA-PBE, OQMD).

Peak list (10 most intense, 10° ≤ 2θ ≤ 80°, in order of rising 2θ)
| 2θ (°) | I (rel.) |
| --- | --- |
| 24.83 | 48 |
| 31.12 | 100 |
| 31.33 | 73 |
| 32.12 | 43 |
| 34.95 | 41 |
| 39.28 | 97 |
| 44.59 | 77 |
| 44.74 | 44 |
| 55.50 | 56 |
| 65.82 | 32 |

Cell and atoms:
Cell lengths 11.7772, 11.7772, 11.7772 Å; angles 160.13, 160.13, 28.25 degrees
Fractional coordinates of all 10 atoms:
Pr 0.1432 0.1432 0.0000
Pr 0.8568 0.8568 0.0000
Sm 0.5000 0.5000 0.0000
Co 0.2500 0.7500 0.5000
Co 0.7500 0.2500 0.5000
B 0.2809 0.2809 0.0000
B 0.7191 0.7191 0.0000
As 0.0000 0.0000 0.0000
As 0.3737 0.3737 0.0000
As 0.6263 0.6263 0.0000

---

No. 3
Theoretical powder diffractogram of Nd2SmNi7Pt2 for copper Kα, from a DFT-relaxed cell (GGA-PBE, OQMD).

Peak list (10 most intense, 10° ≤ 2θ ≤ 80°, in order of rising 2θ)
| 2θ (°) | I (rel.) |
| --- | --- |
| 10.48 | 23 |
| 21.05 | 14 |
| 35.02 | 58 |
| 41.22 | 100 |
| 44.33 | 15 |
| 44.58 | 16 |
| 48.03 | 18 |
| 66.30 | 17 |
| 67.04 | 23 |
| 74.00 | 18 |

Cell and atoms:
Cell lengths 8.9448, 8.9448, 8.9448 Å; angles 33.29, 33.29, 33.29 degrees
Fractional coordinates of all 12 atoms:
Nd 0.1390 0.1390 0.1390
Nd 0.8610 0.8610 0.8610
Sm 0.0000 0.0000 0.0000
Ni 0.0857 0.5842 0.5842
Ni 0.4158 0.4158 0.9143
Ni 0.4158 0.9143 0.4158
Ni 0.5000 0.5000 0.5000
Ni 0.5842 0.0857 0.5842
Ni 0.5842 0.5842 0.0857
Ni 0.9143 0.4158 0.4158
Pt 0.3324 0.3324 0.3324
Pt 0.6676 0.6676 0.6676

---

No. 4
Theoretical powder diffractogram of Rb2CoPt2S4 for copper Kα, from a DFT-relaxed cell (GGA-PBE, OQMD).

Peak list (10 most intense, 10° ≤ 2θ ≤ 80°, in order of rising 2θ)
| 2θ (°) | I (rel.) |
| --- | --- |
| 12.90 | 100 |
| 22.09 | 58 |
| 25.37 | 21 |
| 30.19 | 21 |
| 31.69 | 21 |
| 32.70 | 41 |
| 35.29 | 29 |
| 36.16 | 33 |
| 37.94 | 28 |
| 52.10 | 32 |

Cell and atoms:
Cell lengths 8.4718, 7.6054, 5.9556 Å; angles 76.24, 60.69, 43.07 degrees
Fractional coordinates of all 9 atoms:
Rb 0.1570 0.1570 0.8430
Rb 0.8430 0.8430 0.1570
Co 0.5000 0.5000 0.5000
Pt 0.0000 0.0000 0.5000
Pt 0.5000 0.5000 0.0000
S 0.2245 0.5578 0.4422
S 0.4422 0.7755 0.2245
S 0.5578 0.2245 0.7755
S 0.7755 0.4422 0.5578

---

No. 5
Theoretical powder diffractogram of LaTmMg6 for copper Kα, from a DFT-relaxed cell (GGA-PBE, OQMD).

Peak list (10 most intense, 10° ≤ 2θ ≤ 80°, in order of rising 2θ)
| 2θ (°) | I (rel.) |
| --- | --- |
| 20.79 | 100 |
| 23.90 | 18 |
| 24.13 | 35 |
| 34.22 | 95 |
| 34.39 | 47 |
| 40.23 | 19 |
| 40.52 | 36 |
| 49.42 | 17 |
| 61.16 | 17 |
| 61.48 | 34 |

Cell and atoms:
Cell lengths 5.2159, 7.4471, 5.2165 Å; angles 90.00, 90.00, 90.00 degrees
Fractional coordinates of all 8 atoms:
La 0.0000 0.0000 0.0000
Tm 0.5000 0.5000 0.4923
Mg 0.0000 0.2611 0.5009
Mg 0.0000 0.5000 0.0003
Mg 0.0000 0.7389 0.5009
Mg 0.5000 0.0000 0.4946
Mg 0.5000 0.2611 0.9921
Mg 0.5000 0.7389 0.9921

---

No. 6
Theoretical powder diffractogram of TcS2 for copper Kα, from a DFT-relaxed cell (GGA-PBE, OQMD).

Peak list (10 most intense, 10° ≤ 2θ ≤ 80°, in order of rising 2θ)
| 2θ (°) | I (rel.) |
| --- | --- |
| 13.47 | 100 |
| 16.85 | 7 |
| 33.17 | 18 |
| 34.08 | 9 |
| 35.28 | 10 |
| 38.56 | 28 |
| 41.77 | 11 |
| 44.91 | 7 |
| 47.78 | 17 |
| 56.73 | 6 |

Cell and atoms:
Cell lengths 3.1464, 5.7419, 13.1488 Å; angles 90.00, 90.00, 90.00 degrees
Fractional coordinates of all 12 atoms:
Tc 0.0000 0.0203 0.0000
Tc 0.0000 0.5778 0.4963
Tc 0.5000 0.4222 0.9963
Tc 0.5000 0.9797 0.5000
S 0.0000 0.2045 0.4006
S 0.0000 0.2966 0.8711
S 0.0000 0.6472 0.0957
S 0.0000 0.8538 0.6253
S 0.5000 0.1462 0.1253
S 0.5000 0.3528 0.5957
S 0.5000 0.7034 0.3711
S 0.5000 0.7955 0.9006

---

No. 7
Theoretical powder diffractogram of Rb2TcSb2 for copper Kα, from a DFT-relaxed cell (GGA-PBE, OQMD).

Peak list (10 most intense, 10° ≤ 2θ ≤ 80°, in order of rising 2θ)
| 2θ (°) | I (rel.) |
| --- | --- |
| 10.72 | 45 |
| 13.15 | 43 |
| 25.10 | 79 |
| 29.90 | 27 |
| 30.48 | 100 |
| 32.57 | 37 |
| 35.95 | 26 |
| 37.15 | 31 |
| 46.05 | 33 |
| 48.26 | 26 |

Cell and atoms:
Cell lengths 9.0377, 9.0377, 5.9764 Å; angles 90.00, 90.00, 131.86 degrees
Fractional coordinates of all 10 atoms:
Rb 0.0874 0.9126 0.7500
Rb 0.2902 0.7098 0.2500
Rb 0.7098 0.2902 0.7500
Rb 0.9126 0.0874 0.2500
Tc 0.5000 0.5000 0.0000
Tc 0.5000 0.5000 0.5000
Sb 0.1926 0.4041 0.7500
Sb 0.4041 0.1926 0.2500
Sb 0.5959 0.8074 0.7500
Sb 0.8074 0.5959 0.2500

---

No. 8
Theoretical powder diffractogram of ErTm2CuSn3Ir2 for copper Kα, from a DFT-relaxed cell (GGA-PBE, OQMD).

Peak list (10 most intense, 10° ≤ 2θ ≤ 80°, in order of rising 2θ)
| 2θ (°) | I (rel.) |
| --- | --- |
| 13.58 | 13 |
| 33.52 | 100 |
| 36.32 | 68 |
| 36.45 | 40 |
| 41.55 | 41 |
| 43.79 | 19 |
| 47.93 | 21 |
| 61.68 | 18 |
| 65.26 | 22 |
| 67.27 | 27 |

Cell and atoms:
Cell lengths 3.7959, 7.5323, 7.5323 Å; angles 120.07, 90.00, 90.00 degrees
Fractional coordinates of all 9 atoms:
Er 0.0000 0.0000 0.0000
Tm 0.0000 0.4033 0.8068
Tm 0.0000 0.8068 0.4033
Cu 0.0000 0.4036 0.4036
Sn 0.5000 0.1403 0.4034
Sn 0.5000 0.4034 0.1403
Sn 0.5000 0.6663 0.6663
Ir 0.5000 0.0702 0.7359
Ir 0.5000 0.7359 0.0702